Computed powder diffraction line list of SrSmTe2AuSe for λ = 1.5418 Å (Cu Kα), from a crystal structure in OQMD, relaxed with PBE.
Intensities are scaled so that the largest is 100.

Structure:
```
12
Lattice="2.1490 -7.4313 0.0000 2.1490 7.4313 0.0000 0.0000 0.0000 10.8596" Properties=species:S:1:pos:R:3 pbc="T T T"
Sr 2.1490 3.8864 8.1447
Sr 2.1490 -3.8864 2.7149
Sm 2.1490 0.0000 0.0000
Sm 2.1490 0.0000 5.4298
Te 2.1490 5.1955 0.6256
Te 2.1490 5.1955 4.8042
Te 2.1490 -5.1955 6.0554
Te 2.1490 -5.1955 10.2340
Au 2.1490 7.0191 2.7149
Au 2.1490 -7.0191 8.1447
Se 2.1490 1.2294 2.7149
Se 2.1490 -1.2294 8.1447
```

Most intense lines, 10° ≤ 2θ ≤ 90°, low angle first:
Position (°2θ)	I/Imax
11.91	47
27.13	20
27.44	35
28.70	50
32.12	100
32.96	46
40.01	16
40.46	33
42.05	30
44.73	20
50.56	14
54.46	17